[1]
CePm4Nd2: computed PXRD pattern (Cu Kα (weighted mean of Kα1 and Kα2)), based on the PBE geometry in Alexandria.

Structure:
abc: 6.324 3.650 20.756
angles: 90.00 90.05 90.00
Atoms (fractional coordinates):
Ce1 0.000 0.000 0.000
Ce2 0.500 0.500 0.000
Pm1 0.166 0.500 0.861
Pm2 0.168 0.500 0.141
Pm3 0.333 0.000 0.573
Pm4 0.335 0.000 0.283
Pm5 0.666 0.000 0.861
Pm6 0.668 0.000 0.141
Pm7 0.833 0.500 0.573
Pm8 0.835 0.500 0.283
Nd1 0.001 0.000 0.428
Nd2 0.499 0.500 0.716
Nd3 0.501 0.500 0.428
Nd4 0.999 0.000 0.716

Peak list (8 most intense, 10 to 90 degrees two-theta, by angle)
28.56°, I 38; 30.14°, I 51; 31.10°, I 100; 33.18°, I 84; 49.97°, I 38; 52.76°, I 22; 56.82°, I 18; 59.47°, I 44

[2]
CePm6Nd7: computed PXRD pattern (Cu Kα (weighted mean of Kα1 and Kα2)), based on the PBE geometry in Alexandria.

Structure:
abc: 8.189 8.189 8.189
angles: 72.51 72.51 72.51
Atoms (fractional coordinates):
Ce1 0.000 0.000 0.000
Pm1 0.212 0.929 0.355
Pm2 0.355 0.212 0.929
Pm3 0.425 0.857 0.716
Pm4 0.716 0.425 0.857
Pm5 0.857 0.716 0.425
Pm6 0.929 0.355 0.212
Nd1 0.071 0.645 0.787
Nd2 0.142 0.283 0.575
Nd3 0.283 0.575 0.142
Nd4 0.500 0.500 0.500
Nd5 0.575 0.142 0.283
Nd6 0.645 0.787 0.071
Nd7 0.787 0.071 0.645

Peak list (8 most intense, 10 to 90 degrees two-theta, by angle)
29.89°, I 100; 34.65°, I 51; 49.81°, I 36; 59.18°, I 43; 62.09°, I 12; 73.10°, I 6; 80.92°, I 18; 83.49°, I 16

[3]
CePmNd6: computed PXRD pattern (Cu Kα (weighted mean of Kα1 and Kα2)), based on the PBE geometry in Alexandria.

Structure:
abc: 8.964 8.187 6.342
angles: 74.99 61.90 43.11
Atoms (fractional coordinates):
Ce1 0.000 0.000 0.000
Pm1 0.500 0.500 0.500
Nd1 0.123 0.123 0.377
Nd2 0.247 0.247 0.753
Nd3 0.377 0.377 0.123
Nd4 0.623 0.623 0.877
Nd5 0.753 0.753 0.247
Nd6 0.877 0.877 0.623

Peak list (8 most intense, 10 to 90 degrees two-theta, by angle)
29.88°, I 100; 34.64°, I 51; 49.79°, I 30; 59.16°, I 36; 59.22°, I 7; 62.08°, I 12; 80.94°, I 15; 83.50°, I 13

[4]
CePm3Nd8: computed PXRD pattern (Cu Kα (weighted mean of Kα1 and Kα2)), based on the PBE geometry in Alexandria.

Structure:
abc: 8.502 8.502 8.502
angles: 117.56 117.56 94.28
Atoms (fractional coordinates):
Ce1 0.000 0.000 0.000
Pm1 0.250 0.750 0.500
Pm2 0.500 0.500 0.000
Pm3 0.750 0.250 0.500
Nd1 0.120 0.363 0.000
Nd2 0.220 0.744 0.000
Nd3 0.256 0.256 0.476
Nd4 0.363 0.120 0.000
Nd5 0.637 0.637 0.757
Nd6 0.744 0.220 0.000
Nd7 0.780 0.780 0.524
Nd8 0.880 0.880 0.243

Peak list (8 most intense, 10 to 90 degrees two-theta, by angle)
23.85°, I 59; 25.41°, I 57; 28.65°, I 80; 30.93°, I 69; 35.76°, I 100; 42.66°, I 50; 43.98°, I 46; 55.49°, I 33

[5]
CePm2Pr6Nd: computed PXRD pattern (Cu Kα (weighted mean of Kα1 and Kα2)), based on the PBE geometry in Alexandria.

Structure:
abc: 6.752 6.752 9.054
angles: 101.90 101.90 63.12
Atoms (fractional coordinates):
Ce1 0.000 0.000 0.000
Pm1 0.410 0.410 0.840
Pm2 0.590 0.590 0.160
Pr1 0.087 0.562 0.201
Pr2 0.124 0.124 0.413
Pr3 0.438 0.913 0.799
Pr4 0.562 0.087 0.201
Pr5 0.876 0.876 0.587
Pr6 0.913 0.438 0.799
Nd1 0.500 0.500 0.500

Peak list (8 most intense, 10 to 90 degrees two-theta, by angle)
26.74°, I 56; 28.74°, I 38; 29.93°, I 62; 30.23°, I 39; 30.34°, I 100; 30.98°, I 41; 32.26°, I 47; 32.52°, I 50

[6]
Ce2PmNdS4: computed PXRD pattern (Cu Kα (weighted mean of Kα1 and Kα2)), based on the PBE geometry in Alexandria.

Structure:
abc: 6.999 4.034 7.004
angles: 90.00 109.43 90.00
Atoms (fractional coordinates):
Ce1 0.000 0.000 0.000
Ce2 0.500 0.500 0.000
Pm1 0.000 0.500 0.500
Nd1 0.500 0.000 0.500
S1 0.248 0.500 0.248
S2 0.249 0.000 0.751
S3 0.751 0.000 0.249
S4 0.752 0.500 0.752

Peak list (8 most intense, 10 to 90 degrees two-theta, by angle)
27.03°, I 73; 31.31°, I 100; 44.86°, I 60; 53.17°, I 36; 55.68°, I 13; 55.78°, I 12; 74.20°, I 21; 82.68°, I 12

[7]
Tb2CePm6Nd: computed PXRD pattern (Cu Kα (weighted mean of Kα1 and Kα2)), based on the PBE geometry in Alexandria.

Structure:
abc: 6.673 6.673 8.971
angles: 101.88 101.88 62.46
Atoms (fractional coordinates):
Tb1 0.090 0.090 0.161
Tb2 0.910 0.910 0.839
Ce1 0.500 0.500 0.000
Pm1 0.065 0.591 0.199
Pm2 0.373 0.373 0.585
Pm3 0.409 0.935 0.801
Pm4 0.591 0.065 0.199
Pm5 0.627 0.627 0.415
Pm6 0.935 0.409 0.801
Nd1 0.000 0.000 0.500

Peak list (8 most intense, 10 to 90 degrees two-theta, by angle)
27.01°, I 30; 30.47°, I 41; 30.59°, I 29; 30.87°, I 100; 31.30°, I 32; 32.63°, I 35; 33.07°, I 35; 33.45°, I 27

[8]
Tb2CePm5Nd: computed PXRD pattern (Cu Kα (weighted mean of Kα1 and Kα2)), based on the PBE geometry in Alexandria.

Structure:
abc: 8.172 8.172 9.233
angles: 90.00 90.00 90.00
Atoms (fractional coordinates):
Tb1 0.129 0.371 0.000
Tb2 0.371 0.871 0.000
Tb3 0.629 0.129 0.000
Tb4 0.871 0.629 0.000
Ce1 0.000 0.500 0.500
Ce2 0.500 0.000 0.500
Pm1 0.000 0.000 0.000
Pm2 0.196 0.696 0.268
Pm3 0.196 0.696 0.732
Pm4 0.304 0.196 0.268
Pm5 0.304 0.196 0.732
Pm6 0.500 0.500 0.000
Pm7 0.696 0.804 0.268
Pm8 0.696 0.804 0.732
Pm9 0.804 0.304 0.268
Pm10 0.804 0.304 0.732
Nd1 0.000 0.000 0.500
Nd2 0.500 0.500 0.500

Peak list (8 most intense, 10 to 90 degrees two-theta, by angle)
26.22°, I 25; 29.19°, I 100; 30.95°, I 36; 31.21°, I 73; 34.71°, I 20; 39.02°, I 25; 45.81°, I 21; 50.08°, I 18